1.
# Ba3Cu17AgP6
Computed XRD peak list, copper Kα. Input: DFT lattice parameters and positions (GGA-PBE).
No peak broadening, texture or thermal motion is included.

Peak list (8 most intense, 2θ = 10–90°, in order of rising 2θ)
2θ = 10.09°, intensity 76
2θ = 23.94°, intensity 26
2θ = 29.83°, intensity 62
2θ = 37.08°, intensity 69
2θ = 37.24°, intensity 68
2θ = 44.02°, intensity 45
2θ = 44.13°, intensity 100
2θ = 52.36°, intensity 35

```
data_Ba3Cu17AgP6
_chemical_formula_sum 'Ba6 Cu34 Ag2 P12'
_space_group_name_H-M_alt 'C 1 2/m 1'
_space_group_IT_number 12
_space_group_name_Hall '-C 2y'
_cell_length_a 17.462
_cell_length_b 5.787
_cell_length_c 10.510
_cell_angle_alpha 90.00
_cell_angle_beta 123.49
_cell_angle_gamma 90.00
loop_
_atom_site_label
_atom_site_type_symbol
_atom_site_fract_x
_atom_site_fract_y
_atom_site_fract_z
Ba1 Ba 0.000 0.000 0.000
Ba2 Ba 0.166 0.500 0.999
Cu1 Cu 0.000 0.000 0.500
Cu2 Cu 0.028 0.239 0.322
Cu3 Cu 0.147 0.239 0.678
Cu4 Cu 0.167 0.000 0.500
Cu5 Cu 0.168 0.500 0.500
Cu6 Cu 0.193 0.250 0.329
Ag1 Ag 0.000 0.500 0.500
P1 P 0.069 0.500 0.205
P2 P 0.098 0.000 0.795
P3 P 0.235 0.000 0.205
```

***

2.
# BaErAgS3
Computed XRD peak list, copper Kα. Input: DFT lattice parameters and positions (GGA-PBE).
No peak broadening, texture or thermal motion is included.

Peak list (8 most intense, 2θ = 10–90°, in order of rising 2θ)
2θ = 25.70°, intensity 30
2θ = 26.22°, intensity 22
2θ = 26.98°, intensity 66
2θ = 30.28°, intensity 100
2θ = 31.41°, intensity 40
2θ = 43.86°, intensity 26
2θ = 44.53°, intensity 17
2θ = 44.66°, intensity 21

```
data_BaErAgS3
_chemical_formula_sum 'Ba4 Er4 Ag4 S12'
_space_group_name_H-M_alt 'C 1 2/m 1'
_space_group_IT_number 12
_space_group_name_Hall '-C 2y'
_cell_length_a 17.534
_cell_length_b 4.058
_cell_length_c 8.603
_cell_angle_alpha 90.00
_cell_angle_beta 103.01
_cell_angle_gamma 90.00
loop_
_atom_site_label
_atom_site_type_symbol
_atom_site_fract_x
_atom_site_fract_y
_atom_site_fract_z
Ba1 Ba 0.136 0.000 0.069
Er1 Er 0.164 0.000 0.580
Ag1 Ag 0.015 0.500 0.709
S1 S 0.000 0.000 0.500
S2 S 0.000 0.500 0.000
S3 S 0.175 0.500 0.371
S4 S 0.176 0.500 0.799
```

***

3.
# BaMgAgF7
Computed XRD peak list, copper Kα. Input: DFT lattice parameters and positions (GGA-PBE).
No peak broadening, texture or thermal motion is included.

Peak list (8 most intense, 2θ = 10–90°, in order of rising 2θ)
2θ = 24.70°, intensity 100
2θ = 25.90°, intensity 53
2θ = 28.44°, intensity 28
2θ = 31.09°, intensity 20
2θ = 39.55°, intensity 21
2θ = 39.96°, intensity 28
2θ = 51.26°, intensity 29
2θ = 52.89°, intensity 26

```
data_BaMgAgF7
_chemical_formula_sum 'Ba4 Mg4 Ag4 F28'
_space_group_name_H-M_alt 'P 1 21/c 1'
_space_group_IT_number 14
_space_group_name_Hall '-P 2ybc'
_cell_length_a 5.762
_cell_length_b 10.189
_cell_length_c 9.910
_cell_angle_alpha 90.00
_cell_angle_beta 93.13
_cell_angle_gamma 90.00
loop_
_atom_site_label
_atom_site_type_symbol
_atom_site_fract_x
_atom_site_fract_y
_atom_site_fract_z
Ba1 Ba 0.228 0.176 0.002
Mg1 Mg 0.193 0.606 0.808
Ag1 Ag 0.307 0.611 0.185
F1 F 0.016 0.721 0.250
F2 F 0.105 0.539 0.631
F3 F 0.124 0.061 0.625
F4 F 0.240 0.697 0.991
F5 F 0.363 0.052 0.378
F6 F 0.399 0.540 0.378
F7 F 0.478 0.712 0.751
```

***

4.
# BaZnAgF7
Computed XRD peak list, copper Kα. Input: DFT lattice parameters and positions (GGA-PBE).
No peak broadening, texture or thermal motion is included.

Peak list (8 most intense, 2θ = 10–90°, in order of rising 2θ)
2θ = 24.64°, intensity 100
2θ = 25.85°, intensity 55
2θ = 28.51°, intensity 32
2θ = 30.36°, intensity 22
2θ = 30.97°, intensity 24
2θ = 39.69°, intensity 24
2θ = 51.07°, intensity 25
2θ = 52.91°, intensity 20

```
data_BaZnAgF7
_chemical_formula_sum 'Ba4 Zn4 Ag4 F28'
_space_group_name_H-M_alt 'P 1 21/c 1'
_space_group_IT_number 14
_space_group_name_Hall '-P 2ybc'
_cell_length_a 5.783
_cell_length_b 10.265
_cell_length_c 9.877
_cell_angle_alpha 90.00
_cell_angle_beta 92.95
_cell_angle_gamma 90.00
loop_
_atom_site_label
_atom_site_type_symbol
_atom_site_fract_x
_atom_site_fract_y
_atom_site_fract_z
Ba1 Ba 0.234 0.178 0.002
Zn1 Zn 0.197 0.603 0.807
Ag1 Ag 0.304 0.610 0.187
F1 F 0.007 0.716 0.250
F2 F 0.109 0.541 0.626
F3 F 0.127 0.062 0.625
F4 F 0.238 0.698 0.991
F5 F 0.369 0.055 0.381
F6 F 0.398 0.538 0.380
F7 F 0.484 0.714 0.751
```

***

5.
# Ba7Ga5AgSe15
Computed XRD peak list, copper Kα. Input: DFT lattice parameters and positions (GGA-PBE).
No peak broadening, texture or thermal motion is included.

Peak list (8 most intense, 2θ = 10–90°, in order of rising 2θ)
2θ = 26.64°, intensity 38
2θ = 27.06°, intensity 46
2θ = 28.15°, intensity 50
2θ = 28.28°, intensity 41
2θ = 30.24°, intensity 100
2θ = 32.73°, intensity 31
2θ = 33.26°, intensity 29
2θ = 47.03°, intensity 37

```
data_Ba7Ga5AgSe15
_chemical_formula_sum 'Ba14 Ga10 Ag2 Se30'
_space_group_name_H-M_alt 'P 3 1 c'
_space_group_IT_number 159
_space_group_name_Hall 'P 3 -2c'
_cell_length_a 10.2208
_cell_length_b 10.2208
_cell_length_c 19.0205
_cell_angle_alpha 90.00
_cell_angle_beta 90.00
_cell_angle_gamma 120.00
loop_
_atom_site_label
_atom_site_type_symbol
_atom_site_fract_x
_atom_site_fract_y
_atom_site_fract_z
Ba1 Ba 0.0000 0.0000 0.0000
Ba2 Ba 0.0245 0.6028 0.3860
Ba3 Ba 0.0789 0.3509 0.1956
Ga1 Ga 0.0000 0.0000 0.3086
Ga2 Ga 0.1098 0.6459 0.5850
Ga3 Ga 0.3333 0.6667 0.7555
Ag1 Ag 0.3333 0.6667 0.0351
Se1 Se 0.0000 0.0000 0.1794
Se2 Se 0.0187 0.2278 0.3601
Se3 Se 0.1049 0.6628 0.7136
Se4 Se 0.1192 0.4300 0.5381
Se5 Se 0.1203 0.7447 0.0425
Se6 Se 0.3333 0.6667 0.2874
Se7 Se 0.3333 0.6667 0.8796
```

***

6.
# BaAg2GeS4
Computed XRD peak list, copper Kα. Input: DFT lattice parameters and positions (GGA-PBE).
No peak broadening, texture or thermal motion is included.

Peak list (8 most intense, 2θ = 10–90°, in order of rising 2θ)
2θ = 25.97°, intensity 36
2θ = 28.29°, intensity 100
2θ = 37.05°, intensity 31
2θ = 47.27°, intensity 50
2θ = 51.46°, intensity 23
2θ = 60.32°, intensity 11
2θ = 74.05°, intensity 11
2θ = 77.34°, intensity 11

```
data_BaAg2GeS4
_chemical_formula_sum 'Ba2 Ag4 Ge2 S8'
_space_group_name_H-M_alt 'I -4 2 m'
_space_group_IT_number 121
_space_group_name_Hall 'I -4 2'
_cell_length_a 6.862
_cell_length_b 6.862
_cell_length_c 8.302
_cell_angle_alpha 90.00
_cell_angle_beta 90.00
_cell_angle_gamma 90.00
loop_
_atom_site_label
_atom_site_type_symbol
_atom_site_fract_x
_atom_site_fract_y
_atom_site_fract_z
Ba1 Ba 0.000 0.000 0.000
Ag1 Ag 0.000 0.500 0.250
Ge1 Ge 0.000 0.000 0.500
S1 S 0.189 0.189 0.344
```

***

7.
# BaAg2GeSe4
Computed XRD peak list, copper Kα. Input: DFT lattice parameters and positions (GGA-PBE).
No peak broadening, texture or thermal motion is included.

Peak list (8 most intense, 2θ = 10–90°, in order of rising 2θ)
2θ = 27.28°, intensity 100
2θ = 29.24°, intensity 22
2θ = 29.76°, intensity 11
2θ = 33.94°, intensity 15
2θ = 35.02°, intensity 46
2θ = 44.46°, intensity 26
2θ = 45.44°, intensity 25
2θ = 55.87°, intensity 12

```
data_BaAg2GeSe4
_chemical_formula_sum 'Ba2 Ag4 Ge2 Se8'
_space_group_name_H-M_alt 'I 2 2 2'
_space_group_IT_number 23
_space_group_name_Hall 'I 2 2'
_cell_length_a 7.129
_cell_length_b 7.370
_cell_length_c 8.489
_cell_angle_alpha 90.00
_cell_angle_beta 90.00
_cell_angle_gamma 90.00
loop_
_atom_site_label
_atom_site_type_symbol
_atom_site_fract_x
_atom_site_fract_y
_atom_site_fract_z
Ba1 Ba 0.000 0.000 0.000
Ag1 Ag 0.000 0.500 0.207
Ge1 Ge 0.000 0.000 0.500
Se1 Se 0.193 0.190 0.662
```

***

8.
# Ba4InAgS6
Computed XRD peak list, copper Kα. Input: DFT lattice parameters and positions (GGA-PBE).
No peak broadening, texture or thermal motion is included.

Peak list (8 most intense, 2θ = 10–90°, in order of rising 2θ)
2θ = 22.21°, intensity 65
2θ = 25.25°, intensity 63
2θ = 25.37°, intensity 61
2θ = 27.38°, intensity 60
2θ = 28.31°, intensity 100
2θ = 28.77°, intensity 68
2θ = 31.51°, intensity 63
2θ = 40.87°, intensity 69

```
data_Ba4InAgS6
_chemical_formula_sum 'Ba16 In4 Ag4 S24'
_space_group_name_H-M_alt 'P 1 21/c 1'
_space_group_IT_number 14
_space_group_name_Hall '-P 2ybc'
_cell_length_a 8.833
_cell_length_b 9.005
_cell_length_c 18.002
_cell_angle_alpha 90.00
_cell_angle_beta 103.94
_cell_angle_gamma 90.00
loop_
_atom_site_label
_atom_site_type_symbol
_atom_site_fract_x
_atom_site_fract_y
_atom_site_fract_z
Ba1 Ba 0.097 0.242 0.459
Ba2 Ba 0.217 0.080 0.714
Ba3 Ba 0.254 0.577 0.785
Ba4 Ba 0.390 0.734 0.040
In1 In 0.444 0.119 0.132
Ag1 Ag 0.062 0.628 0.366
S1 S 0.013 0.188 0.279
S2 S 0.095 0.614 0.930
S3 S 0.185 0.510 0.598
S4 S 0.336 0.014 0.903
S5 S 0.410 0.129 0.574
S6 S 0.488 0.680 0.229
```